Record 1
Structure and computed powder diffraction line list of PrSm2Co4Si4 (a PBE-relaxed structure; Cu Kα X-rays).
Intensities are scaled so that the largest is 100.

Crystal structure
```
PrSm2Co4Si4
1.0
-2.003 2.007 11.778
2.003 -2.007 11.778
2.003 2.007 -11.778
Pr Sm Co Si
1 2 4 4
Direct
0.000 0.000 0.000
0.149 0.649 0.500
0.851 0.351 0.500
0.249 0.249 0.000
0.399 0.899 0.500
0.601 0.101 0.500
0.751 0.751 0.000
0.300 0.800 0.500
0.448 0.448 0.000
0.552 0.552 0.000
0.700 0.200 0.500
```

Main lines, low angle first (2θ from 10° to 90°):
| 2theta | Rel. int. |
| --- | --- |
| 25.0 | 31 |
| 34.8 | 46 |
| 35.1 | 100 |
| 41.2 | 20 |
| 45.2 | 21 |
| 45.3 | 21 |
| 48.2 | 14 |
| 55.7 | 11 |
| 58.3 | 20 |
| 65.9 | 13 |

Record 2
Structure and computed powder diffraction line list of Pr3Sm3CoTe2 (a PBE-relaxed structure; Cu Kα X-rays).
Intensities are scaled so that the largest is 100.

Crystal structure
```
Pr3Sm3CoTe2
1.0
8.625 0.000 0.000
-4.312 7.469 0.000
0.000 0.000 4.013
Pr Sm Co Te
3 3 1 2
Direct
0.000 0.408 0.000
0.408 0.000 0.000
0.592 0.592 0.000
0.000 0.766 0.500
0.234 0.234 0.500
0.766 0.000 0.500
0.000 0.000 0.000
0.333 0.667 0.500
0.667 0.333 0.500
```

Main lines, low angle first (2θ from 10° to 90°):
| 2theta | Rel. int. |
| --- | --- |
| 30.4 | 100 |
| 31.7 | 83 |
| 32.8 | 77 |
| 36.1 | 27 |
| 39.0 | 34 |
| 45.2 | 21 |
| 49.5 | 23 |
| 56.2 | 33 |
| 58.6 | 29 |
| 61.4 | 18 |

Record 3
Structure and computed powder diffraction line list of PrCoTc4 (a PBE-relaxed structure; Cu Kα X-rays).
Intensities are scaled so that the largest is 100.

Crystal structure
```
PrCoTc4
1.0
1.847 1.067 9.663
-1.847 1.067 9.663
0.000 -2.133 9.663
Pr Co Tc
1 1 4
Direct
0.000 0.000 0.000
0.500 0.500 0.500
0.121 0.121 0.121
0.413 0.413 0.413
0.587 0.587 0.587
0.879 0.879 0.879
```

Main lines, low angle first (2θ from 10° to 90°):
| 2theta | Rel. int. |
| --- | --- |
| 27.7 | 17 |
| 28.6 | 100 |
| 35.5 | 73 |
| 37.5 | 56 |
| 42.1 | 56 |
| 44.5 | 13 |
| 49.3 | 84 |
| 61.6 | 26 |
| 62.2 | 14 |
| 66.8 | 14 |

Record 4
Structure and computed powder diffraction line list of Co2SnPt (a PBE-relaxed structure; Cu Kα X-rays).
Intensities are scaled so that the largest is 100.

Crystal structure
```
Co2SnPt
1.0
0.000 3.084 3.084
3.084 0.000 3.084
3.084 3.084 0.000
Co Sn Pt
2 1 1
Direct
0.000 0.000 0.000
0.250 0.250 0.250
0.500 0.500 0.500
0.750 0.750 0.750
```

Main lines, low angle first (2θ from 10° to 90°):
| 2theta | Rel. int. |
| --- | --- |
| 25.0 | 26 |
| 29.0 | 3 |
| 41.4 | 100 |
| 49.0 | 14 |
| 60.0 | 17 |
| 66.0 | 6 |
| 68.0 | 1 |
| 75.5 | 34 |
| 81.0 | 5 |
| 90.0 | 11 |

Record 5
Structure and computed powder diffraction line list of CoSnPtW (a PBE-relaxed structure; Cu Kα X-rays).
Intensities are scaled so that the largest is 100.

Crystal structure
```
CoSnPtW
1.0
0.000 3.154 3.154
3.154 0.000 3.154
3.154 3.154 0.000
Co Sn Pt W
1 1 1 1
Direct
0.000 0.000 0.000
0.750 0.750 0.750
0.250 0.250 0.250
0.500 0.500 0.500
```

Main lines, low angle first (2θ from 10° to 90°):
| 2theta | Rel. int. |
| --- | --- |
| 24.4 | 15 |
| 28.3 | 2 |
| 40.4 | 100 |
| 47.8 | 8 |
| 58.5 | 17 |
| 64.4 | 3 |
| 66.3 | 1 |
| 73.6 | 35 |
| 78.8 | 3 |
| 87.5 | 12 |

Record 6
Structure and computed powder diffraction line list of Pu2Co (a PBE-relaxed structure; Cu Kα X-rays).
Intensities are scaled so that the largest is 100.

Crystal structure
```
Pu2Co
1.0
7.423 0.000 0.000
-3.712 6.429 0.000
0.000 0.000 3.877
Pu Co
6 3
Direct
0.000 0.264 0.000
0.000 0.590 0.500
0.264 0.000 0.000
0.410 0.410 0.500
0.590 0.000 0.500
0.736 0.736 0.000
0.000 0.000 0.500
0.333 0.667 0.000
0.667 0.333 0.000
```

Main lines, low angle first (2θ from 10° to 90°):
| 2theta | Rel. int. |
| --- | --- |
| 24.0 | 17 |
| 33.4 | 100 |
| 36.3 | 52 |
| 37.0 | 49 |
| 42.2 | 20 |
| 46.9 | 18 |
| 56.8 | 21 |
| 61.2 | 24 |
| 68.0 | 23 |
| 78.3 | 15 |

Record 7
Structure and computed powder diffraction line list of Pu6Co (a PBE-relaxed structure; Cu Kα X-rays).
Intensities are scaled so that the largest is 100.

Crystal structure
```
Pu6Co
1.0
-5.610 5.610 2.640
5.610 -5.610 2.640
5.610 5.610 -2.640
Pu Co
12 2
Direct
0.099 0.799 0.898
0.102 0.398 0.500
0.201 0.099 0.300
0.299 0.599 0.898
0.398 0.898 0.296
0.401 0.299 0.700
0.599 0.701 0.300
0.602 0.102 0.704
0.701 0.401 0.102
0.799 0.901 0.700
0.898 0.602 0.500
0.901 0.201 0.102
0.250 0.250 0.000
0.750 0.750 0.000
```

Main lines, low angle first (2θ from 10° to 90°):
| 2theta | Rel. int. |
| --- | --- |
| 33.4 | 100 |
| 34.0 | 25 |
| 37.2 | 12 |
| 41.0 | 17 |
| 47.3 | 10 |
| 58.1 | 11 |
| 60.4 | 19 |
| 62.8 | 19 |
| 69.1 | 17 |
| 74.5 | 12 |

Record 8
Structure and computed powder diffraction line list of PuCoSb3 (a PBE-relaxed structure; Cu Kα X-rays).
Intensities are scaled so that the largest is 100.

Crystal structure
```
PuCoSb3
1.0
12.478 0.000 0.000
0.000 6.115 0.000
0.000 0.000 5.934
Pu Co Sb
4 4 12
Direct
0.195 0.004 0.250
0.195 0.496 0.750
0.805 0.504 0.250
0.805 0.996 0.750
0.404 0.750 0.000
0.404 0.750 0.500
0.596 0.250 0.000
0.596 0.250 0.500
0.002 0.750 0.000
0.002 0.750 0.500
0.277 0.505 0.250
0.277 0.995 0.750
0.442 0.094 0.250
0.442 0.406 0.750
0.558 0.594 0.250
0.558 0.906 0.750
0.723 0.005 0.250
0.723 0.495 0.750
0.998 0.250 0.000
0.998 0.250 0.500
```

Main lines, low angle first (2θ from 10° to 90°):
| 2theta | Rel. int. |
| --- | --- |
| 22.1 | 36 |
| 25.3 | 22 |
| 30.1 | 27 |
| 32.6 | 62 |
| 33.4 | 43 |
| 35.7 | 100 |
| 36.5 | 25 |
| 37.2 | 30 |
| 42.5 | 63 |
| 57.2 | 26 |

Record 9
Structure and computed powder diffraction line list of RbCo8 (a PBE-relaxed structure; Cu Kα X-rays).
Intensities are scaled so that the largest is 100.

Crystal structure
```
RbCo8
1.0
0.000 4.048 8.113
3.578 0.000 8.113
3.578 4.048 0.000
Rb Co
2 16
Direct
0.125 0.125 0.125
0.875 0.875 0.875
0.055 0.602 0.417
0.191 0.765 0.305
0.235 0.809 0.760
0.240 0.305 0.765
0.305 0.240 0.191
0.398 0.945 0.573
0.417 0.427 0.055
0.427 0.417 0.602
0.573 0.583 0.398
0.583 0.573 0.945
0.602 0.055 0.427
0.695 0.760 0.809
0.760 0.695 0.235
0.765 0.191 0.240
0.809 0.235 0.695
0.945 0.398 0.583
```

Main lines, low angle first (2θ from 10° to 90°):
| 2theta | Rel. int. |
| --- | --- |
| 36.0 | 46 |
| 39.4 | 25 |
| 39.8 | 77 |
| 41.9 | 14 |
| 42.5 | 86 |
| 44.8 | 31 |
| 47.8 | 100 |
| 51.4 | 14 |
| 70.2 | 25 |
| 84.7 | 14 |

Record 10
Structure and computed powder diffraction line list of Rb2CoSe2S (a PBE-relaxed structure; Cu Kα X-rays).
Intensities are scaled so that the largest is 100.

Crystal structure
```
Rb2CoSe2S
1.0
6.644 -3.479 0.000
6.644 3.479 0.000
-4.986 0.000 8.284
Rb Co Se S
4 2 4 2
Direct
0.084 0.084 0.357
0.306 0.306 0.181
0.694 0.694 0.819
0.916 0.916 0.643
0.405 0.405 0.852
0.595 0.595 0.148
0.213 0.213 0.771
0.387 0.387 0.608
0.613 0.613 0.392
0.787 0.787 0.229
0.262 0.738 0.000
0.738 0.262 0.000
```

Main lines, low angle first (2θ from 10° to 90°):
| 2theta | Rel. int. |
| --- | --- |
| 15.9 | 23 |
| 25.6 | 100 |
| 27.4 | 72 |
| 27.7 | 56 |
| 31.4 | 19 |
| 32.6 | 28 |
| 33.6 | 23 |
| 37.8 | 42 |
| 38.1 | 30 |
| 52.6 | 28 |

Record 11
Structure and computed powder diffraction line list of Rb2CoSe3 (a PBE-relaxed structure; Cu Kα X-rays).
Intensities are scaled so that the largest is 100.

Crystal structure
```
Rb2CoSe3
1.0
6.985 0.000 0.000
2.987 6.871 0.000
3.288 1.566 8.305
Rb Co Se
4 2 6
Direct
0.092 0.192 0.132
0.342 0.549 0.314
0.658 0.451 0.686
0.908 0.808 0.868
0.379 0.052 0.671
0.621 0.948 0.329
0.180 0.359 0.720
0.277 0.970 0.493
0.384 0.828 0.900
0.616 0.172 0.100
0.723 0.030 0.507
0.820 0.641 0.280
```

Main lines, low angle first (2θ from 10° to 90°):
| 2theta | Rel. int. |
| --- | --- |
| 15.3 | 26 |
| 25.6 | 80 |
| 26.6 | 98 |
| 27.2 | 100 |
| 27.7 | 23 |
| 32.6 | 47 |
| 33.4 | 24 |
| 33.8 | 23 |
| 43.6 | 26 |
| 52.6 | 29 |

Record 12
Structure and computed powder diffraction line list of Rb2Co3Se4 (a PBE-relaxed structure; Cu Kα X-rays).
Intensities are scaled so that the largest is 100.

Crystal structure
```
Rb2Co3Se4
1.0
0.000 5.203 14.259
2.995 0.000 14.259
2.995 5.203 0.000
Rb Co Se
4 6 8
Direct
0.048 0.048 0.202
0.202 0.202 0.048
0.798 0.798 0.952
0.952 0.952 0.798
0.125 0.125 0.625
0.375 0.375 0.375
0.375 0.375 0.875
0.625 0.625 0.125
0.625 0.625 0.625
0.875 0.875 0.375
0.156 0.484 0.261
0.261 0.600 0.156
0.400 0.739 0.516
0.484 0.156 0.600
0.516 0.844 0.400
0.600 0.261 0.484
0.739 0.400 0.844
0.844 0.516 0.739
```

Main lines, low angle first (2θ from 10° to 90°):
| 2theta | Rel. int. |
| --- | --- |
| 12.4 | 93 |
| 19.5 | 30 |
| 23.2 | 34 |
| 29.9 | 100 |
| 30.5 | 49 |
| 35.4 | 62 |
| 37.2 | 79 |
| 41.4 | 53 |
| 52.2 | 70 |
| 61.8 | 36 |